Starting from a structure optimized by DFT (PBE), the X-ray powder pattern of Pm2Zn2Sn was computed for CuKα.
Intensities are scaled so that the largest is 100.

Most intense lines, 10° ≤ 2θ ≤ 90°, in order of rising 2θ:
2θ/deg	I (rel.)
30.85	50
31.18	17
31.70	100
32.19	25
34.81	24
37.86	60
39.53	41
66.84	20

Atomic structure:
a b c (Å): 11.150 4.560 10.884
angles (deg): 90.00 116.65 90.00
Space group C2/m (No. 12)
One atom of each set of equivalent atoms:
Pm 0.010 0.000 0.329 (multiplicity 4)
Pm 0.183 0.000 0.093 (multiplicity 4)
Zn 0.027 0.500 0.891 (multiplicity 4)
Zn 0.131 0.500 0.554 (multiplicity 4)
Sn 0.223 0.500 0.334 (multiplicity 4)

=====

Starting from a structure optimized by DFT (PBE), the X-ray powder pattern of Pm7ZnSn5 was computed for CuKα.
Intensities are scaled so that the largest is 100.

Most intense lines, 10° ≤ 2θ ≤ 90°, in order of rising 2θ:
2θ/deg	I (rel.)
27.39	37
32.01	36
32.12	61
33.29	42
35.82	51
36.20	100
37.05	32
56.52	30

Atomic structure:
a b c (Å): 6.430 11.331 10.765
angles (deg): 90.00 90.00 90.00
Space group Imm2 (No. 44)
One atom of each set of equivalent atoms:
Pm 0.000 0.000 0.000 (multiplicity 2)
Pm 0.000 0.000 0.387 (multiplicity 2)
Pm 0.000 0.332 0.638 (multiplicity 4)
Pm 0.000 0.335 0.122 (multiplicity 4)
Pm 0.000 0.500 0.361 (multiplicity 2)
Zn 0.000 0.000 0.685 (multiplicity 2)
Sn 0.000 0.500 0.878 (multiplicity 2)
Sn 0.250 0.242 0.884 (multiplicity 8)

=====

Starting from a structure optimized by DFT (PBE), the X-ray powder pattern of Pm2Zn3Sn was computed for CuKα.
Intensities are scaled so that the largest is 100.

Most intense lines, 10° ≤ 2θ ≤ 90°, in order of rising 2θ:
2θ/deg	I (rel.)
22.34	10
32.73	100
39.21	57
48.31	10
51.97	27
63.90	26
66.99	25
71.07	9

Atomic structure:
a b c (Å): 7.536 9.192 15.914
angles (deg): 90.00 90.00 90.00
Space group Fmmm (No. 69)
One atom of each set of equivalent atoms:
Pm 0.242 0.000 0.000 (multiplicity 8)
Pm 0.250 0.250 0.250 (multiplicity 8)
Zn 0.000 0.000 0.162 (multiplicity 8)
Zn 0.000 0.244 0.080 (multiplicity 16)
Sn 0.000 0.000 0.335 (multiplicity 8)

=====

Starting from a structure optimized by DFT (PBE), the X-ray powder pattern of Pm5ZrSn4 was computed for CuKα.
Intensities are scaled so that the largest is 100.

Most intense lines, 10° ≤ 2θ ≤ 90°, in order of rising 2θ:
2θ/deg	I (rel.)
29.11	53
30.03	100
40.87	17
41.41	40
43.21	34
45.02	16
49.37	10
54.51	19

Atomic structure:
a b c (Å): 19.222 4.027 8.849
angles (deg): 90.00 106.74 90.00
Space group C2/m (No. 12)
One atom of each set of equivalent atoms:
Pm 0.000 0.000 0.000 (multiplicity 2)
Pm 0.168 0.500 0.319 (multiplicity 4)
Pm 0.170 0.500 0.872 (multiplicity 4)
Zr 0.000 0.000 0.500 (multiplicity 2)
Sn 0.001 0.500 0.737 (multiplicity 4)
Sn 0.163 0.000 0.593 (multiplicity 4)

=====

Starting from a structure optimized by DFT (PBE), the X-ray powder pattern of Pm2Zr3Sn4 was computed for CuKα.
Intensities are scaled so that the largest is 100.

Most intense lines, 10° ≤ 2θ ≤ 90°, in order of rising 2θ:
2θ/deg	I (rel.)
30.00	93
32.16	100
32.49	69
32.81	92
32.99	31
36.09	66
36.16	62
36.48	80

Atomic structure:
a b c (Å): 7.940 7.926 7.774
angles (deg): 90.00 110.12 90.00
Space group P2_1/c (No. 14)
One atom of each set of equivalent atoms:
Pm 0.187 0.169 0.059 (multiplicity 4)
Zr 0.254 0.672 0.247 (multiplicity 4)
Zr 0.500 0.000 0.500 (multiplicity 2)
Sn 0.085 0.539 0.853 (multiplicity 4)
Sn 0.489 0.136 0.860 (multiplicity 4)

=====

Starting from a structure optimized by DFT (PBE), the X-ray powder pattern of Sr2Pm was computed for CuKα.
Intensities are scaled so that the largest is 100.

Most intense lines, 10° ≤ 2θ ≤ 90°, in order of rising 2θ:
2θ/deg	I (rel.)
26.09	44
26.98	46
28.61	100
30.02	72
35.57	30
45.71	33
47.76	27
53.88	40

Atomic structure:
a b c (Å): 6.875 3.971 10.173
angles (deg): 90.00 103.00 90.00
Space group C2 (No. 5)
One atom of each set of equivalent atoms:
Sr 0.227 0.000 0.179 (multiplicity 4)
Pm 0.000 0.001 0.500 (multiplicity 2)

=====

Starting from a structure optimized by DFT (PBE), the X-ray powder pattern of Sr6Pm was computed for CuKα.
Intensities are scaled so that the largest is 100.

Most intense lines, 10° ≤ 2θ ≤ 90°, in order of rising 2θ:
2θ/deg	I (rel.)
18.39	41
22.57	100
34.79	66
37.27	30
41.87	20
51.90	21
53.74	20
59.01	21

Atomic structure:
a b c (Å): 9.649 9.649 9.649
angles (deg): 90.00 90.00 90.00
Space group Im-3m (No. 229)
One atom of each set of equivalent atoms:
Sr 0.000 0.250 0.500 (multiplicity 12)
Pm 0.000 0.000 0.000 (multiplicity 2)

=====

Starting from a structure optimized by DFT (PBE), the X-ray powder pattern of Sr3Pm was computed for CuKα.
Intensities are scaled so that the largest is 100.

Most intense lines, 10° ≤ 2θ ≤ 90°, in order of rising 2θ:
2θ/deg	I (rel.)
25.23	23
27.10	26
28.70	100
37.36	16
44.45	20
48.89	23
52.84	24
53.77	17

Atomic structure:
a b c (Å): 8.1522 8.1522 6.5804
angles (deg): 90.00 90.00 120.00
Space group P6_3/mmc (No. 194)
One atom of each set of equivalent atoms:
Sr 0.1718 0.3435 0.2500 (multiplicity 6)
Pm 0.3333 0.6667 0.7500 (multiplicity 2)

=====

Starting from a structure optimized by DFT (PBE), the X-ray powder pattern of SrPm4Te5 was computed for CuKα.
Intensities are scaled so that the largest is 100.

Most intense lines, 10° ≤ 2θ ≤ 90°, in order of rising 2θ:
2θ/deg	I (rel.)
19.88	1
27.97	100
39.97	76
49.48	28
57.80	13
65.41	35
72.58	26
86.23	8

Atomic structure:
a b c (Å): 4.510 4.510 31.923
angles (deg): 90.00 90.00 90.00
Space group I4/mmm (No. 139)
One atom of each set of equivalent atoms:
Sr 0.000 0.000 0.000 (multiplicity 2)
Pm 0.000 0.000 0.201 (multiplicity 4)
Pm 0.000 0.000 0.398 (multiplicity 4)
Te 0.000 0.000 0.102 (multiplicity 4)
Te 0.000 0.000 0.300 (multiplicity 4)
Te 0.000 0.000 0.500 (multiplicity 2)

=====

Starting from a structure optimized by DFT (PBE), the X-ray powder pattern of Sr4Pm3Te8 was computed for CuKα.
Intensities are scaled so that the largest is 100.

Most intense lines, 10° ≤ 2θ ≤ 90°, in order of rising 2θ:
2θ/deg	I (rel.)
10.43	29
22.85	17
26.62	100
33.55	28
36.31	53
39.64	54
48.39	19
59.62	20

Atomic structure:
a b c (Å): 9.0946 9.0946 25.4426
angles (deg): 90.00 90.00 120.00
Space group R-3m (No. 166, hexagonal axes)
One atom of each set of equivalent atoms:
Sr 0.0000 0.0000 0.0000 (multiplicity 3)
Sr 0.0000 0.0000 0.1463 (multiplicity 6)
Sr 0.0000 0.0000 0.5000 (multiplicity 3)
Pm 0.0000 0.5000 0.0000 (multiplicity 9)
Te 0.0000 0.0000 0.2682 (multiplicity 6)
Te 0.0120 0.5060 0.2568 (multiplicity 18)

=====

Starting from a structure optimized by DFT (PBE), the X-ray powder pattern of SrPmTe4 was computed for CuKα.
Intensities are scaled so that the largest is 100.

Most intense lines, 10° ≤ 2θ ≤ 90°, in order of rising 2θ:
2θ/deg	I (rel.)
28.31	68
30.56	100
33.70	41
40.73	42
44.05	33
57.23	22
60.48	22
61.77	22

Atomic structure:
a b c (Å): 7.005 7.005 8.173
angles (deg): 90.00 90.00 90.00
Space group P4/nbm (No. 125, origin choice 2)
One atom of each set of equivalent atoms:
Sr 0.250 0.250 0.000 (multiplicity 2)
Pm 0.250 0.250 0.500 (multiplicity 2)
Te 0.099 0.599 0.268 (multiplicity 8)

=====

Starting from a structure optimized by DFT (PBE), the X-ray powder pattern of SrPm4Tl5 was computed for CuKα.
Intensities are scaled so that the largest is 100.

Most intense lines, 10° ≤ 2θ ≤ 90°, in order of rising 2θ:
2θ/deg	I (rel.)
32.25	100
32.38	52
46.05	8
46.44	19
57.41	17
57.67	39
67.47	11
77.10	17

Atomic structure:
a b c (Å): 3.910 3.910 19.710
angles (deg): 90.00 90.00 90.00
Space group P4/mmm (No. 123)
One atom of each set of equivalent atoms:
Sr 0.000 0.000 0.000 (multiplicity 1)
Pm 0.000 0.000 0.206 (multiplicity 2)
Pm 0.000 0.000 0.403 (multiplicity 2)
Tl 0.500 0.500 0.111 (multiplicity 2)
Tl 0.500 0.500 0.306 (multiplicity 2)
Tl 0.500 0.500 0.500 (multiplicity 1)